No. 1
Li2Y2CuSn2Pt: theoretical XRD peak list (Cu Kα X-rays), based on the GGA-PBE geometry in OQMD.
Peak positions follow from Bragg's law for the DFT cell and can differ from measured ones.

Cell lengths 4.733, 4.733, 6.694 Å; angles 90.00, 90.00, 90.00 degrees
Atoms (fractional coordinates):
Li (0.000, 0.000, 0.000)
Li (0.500, 0.500, 0.500)
Y (0.000, 0.500, 0.248)
Y (0.500, 0.000, 0.752)
Cu (0.500, 0.500, 0.000)
Sn (0.000, 0.500, 0.759)
Sn (0.500, 0.000, 0.241)
Pt (0.000, 0.000, 0.500)

The 10 most intense peaks (2θ from 10° to 80°), in order of falling intensity:
d (Å), two_theta, I (rel.)
2.367, 38.0, 100
1.366, 68.7, 35
3.865, 23.0, 33
2.018, 44.9, 17
1.674, 54.9, 17
1.536, 60.3, 7
3.347, 26.6, 6
4.733, 18.7, 6
1.288, 73.5, 5
2.994, 29.8, 5

No. 2
LiCuRe2: theoretical XRD peak list (Cu Kα X-rays), based on the GGA-PBE geometry in OQMD.
Peak positions follow from Bragg's law for the DFT cell and can differ from measured ones.

Cell lengths 5.966, 5.966, 5.966 Å; angles 90.00, 90.00, 90.00 degrees
Atoms (fractional coordinates):
Li (0.000, 0.000, 0.000)
Li (0.000, 0.500, 0.500)
Li (0.500, 0.000, 0.500)
Li (0.500, 0.500, 0.000)
Cu (0.250, 0.250, 0.250)
Cu (0.250, 0.750, 0.750)
Cu (0.750, 0.250, 0.750)
Cu (0.750, 0.750, 0.250)
Re (0.000, 0.000, 0.500)
Re (0.000, 0.500, 0.000)
Re (0.250, 0.250, 0.750)
Re (0.250, 0.750, 0.250)
Re (0.500, 0.000, 0.000)
Re (0.500, 0.500, 0.500)
Re (0.750, 0.250, 0.250)
Re (0.750, 0.750, 0.750)

The 9 most intense peaks (2θ from 10° to 80°), in order of falling intensity:
d (Å), two_theta, I (rel.)
2.109, 42.9, 100
3.445, 25.9, 58
1.218, 78.5, 34
1.799, 50.7, 29
1.492, 62.2, 17
1.369, 68.6, 12
2.983, 30.0, 3
1.334, 70.6, 1
1.722, 53.2, 1

No. 3
LiTaCuSe2S: theoretical XRD peak list (Cu Kα X-rays), based on the GGA-PBE geometry in OQMD.
Peak positions follow from Bragg's law for the DFT cell and can differ from measured ones.

Cell lengths 6.716, 6.716, 9.513 Å; angles 90.00, 90.00, 149.52 degrees
Atoms (fractional coordinates):
Li (0.248, 0.752, 0.750)
Li (0.752, 0.248, 0.250)
Ta (0.500, 0.500, 0.000)
Ta (0.500, 0.500, 0.500)
Cu (0.027, 0.973, 0.250)
Cu (0.973, 0.027, 0.750)
Se (0.144, 0.856, 0.058)
Se (0.144, 0.856, 0.442)
Se (0.856, 0.144, 0.558)
Se (0.856, 0.144, 0.942)
S (0.414, 0.586, 0.250)
S (0.586, 0.414, 0.750)

The 10 most intense peaks (2θ from 10° to 80°), in order of falling intensity:
d (Å), two_theta, I (rel.)
6.480, 13.7, 100
2.370, 38.0, 87
4.757, 18.7, 37
2.734, 32.8, 37
1.913, 47.5, 28
2.770, 32.3, 23
2.233, 40.4, 19
2.378, 37.8, 17
1.766, 51.8, 14
1.967, 46.2, 14

No. 4
LiCuTcSe2S: theoretical XRD peak list (Cu Kα X-rays), based on the GGA-PBE geometry in OQMD.
Peak positions follow from Bragg's law for the DFT cell and can differ from measured ones.

Cell lengths 7.044, 3.527, 8.914 Å; angles 90.00, 103.33, 90.00 degrees
Atoms (fractional coordinates):
Li (0.249, 0.250, 0.288)
Li (0.751, 0.750, 0.712)
Cu (0.068, 0.250, 0.608)
Cu (0.932, 0.750, 0.392)
Tc (0.309, 0.750, 0.822)
Tc (0.691, 0.250, 0.178)
Se (0.280, 0.750, 0.533)
Se (0.420, 0.750, 0.124)
Se (0.580, 0.250, 0.876)
Se (0.720, 0.250, 0.467)
S (0.092, 0.250, 0.859)
S (0.908, 0.750, 0.141)

The 10 most intense peaks (2θ from 10° to 80°), in order of falling intensity:
d (Å), two_theta, I (rel.)
6.106, 14.5, 100
2.458, 36.6, 37
3.136, 28.5, 30
2.473, 36.3, 26
2.247, 40.1, 22
2.891, 30.9, 22
1.778, 51.4, 18
1.763, 51.9, 15
1.954, 46.5, 15
1.736, 52.7, 12

No. 5
Li2CuSnS4: theoretical XRD peak list (Cu Kα X-rays), based on the GGA-PBE geometry in OQMD.
Peak positions follow from Bragg's law for the DFT cell and can differ from measured ones.

Cell lengths 6.402, 6.667, 10.144 Å; angles 90.00, 128.86, 90.00 degrees
Atoms (fractional coordinates):
Li (0.000, 0.163, 0.000)
Li (0.000, 0.837, 0.500)
Li (0.747, 0.334, 0.246)
Li (0.747, 0.666, 0.746)
Cu (0.503, 0.171, 0.499)
Cu (0.503, 0.829, 0.999)
Sn (0.254, 0.331, 0.750)
Sn (0.254, 0.669, 0.250)
S (0.141, 0.325, 0.260)
S (0.141, 0.675, 0.760)
S (0.376, 0.150, 0.997)
S (0.376, 0.850, 0.497)
S (0.625, 0.320, 0.741)
S (0.625, 0.680, 0.241)
S (0.860, 0.176, 0.499)
S (0.860, 0.824, 0.999)

The 10 most intense peaks (2θ from 10° to 80°), in order of falling intensity:
d (Å), two_theta, I (rel.)
4.974, 17.8, 100
5.095, 17.4, 82
3.398, 26.2, 59
3.201, 27.9, 54
1.937, 46.9, 47
3.333, 26.7, 34
2.710, 33.1, 32
3.987, 22.3, 28
1.811, 50.4, 26
3.007, 29.7, 26

No. 6
LiTaCu2S4: theoretical XRD peak list (Cu Kα X-rays), based on the GGA-PBE geometry in OQMD.
Peak positions follow from Bragg's law for the DFT cell and can differ from measured ones.

Cell lengths 7.437, 9.670, 9.670 Å; angles 146.39, 90.00, 90.00 degrees
Atoms (fractional coordinates):
Li (0.250, 0.173, 0.827)
Li (0.750, 0.827, 0.173)
Ta (0.250, 0.795, 0.020)
Ta (0.750, 0.020, 0.795)
Cu (0.000, 0.924, 0.924)
Cu (0.250, 0.303, 0.519)
Cu (0.500, 0.924, 0.924)
Cu (0.750, 0.519, 0.303)
S (0.001, 0.053, 0.262)
S (0.250, 0.448, 0.866)
S (0.250, 0.664, 0.681)
S (0.499, 0.053, 0.262)
S (0.501, 0.262, 0.053)
S (0.750, 0.681, 0.664)
S (0.750, 0.866, 0.448)
S (0.999, 0.262, 0.053)

The 10 most intense peaks (2θ from 10° to 80°), in order of falling intensity:
d (Å), two_theta, I (rel.)
5.798, 15.3, 100
2.012, 45.1, 31
5.353, 16.6, 30
2.518, 35.7, 18
2.394, 37.6, 17
4.629, 19.2, 13
1.996, 45.4, 12
2.899, 30.8, 10
2.375, 37.9, 10
1.810, 50.4, 9

No. 7
LiSc6Cu: theoretical XRD peak list (Cu Kα X-rays), based on the GGA-PBE geometry in OQMD.
Peak positions follow from Bragg's law for the DFT cell and can differ from measured ones.

Cell lengths 5.591, 5.591, 5.591 Å; angles 94.22, 94.22, 94.22 degrees
Atoms (fractional coordinates):
Li (0.000, 0.000, 0.000)
Sc (0.049, 0.523, 0.259)
Sc (0.259, 0.049, 0.523)
Sc (0.477, 0.741, 0.951)
Sc (0.523, 0.259, 0.049)
Sc (0.741, 0.951, 0.477)
Sc (0.951, 0.477, 0.741)
Cu (0.500, 0.500, 0.500)

The 10 most intense peaks (2θ from 10° to 80°), in order of falling intensity:
d (Å), two_theta, I (rel.)
2.569, 34.9, 100
2.300, 39.2, 75
2.410, 37.3, 70
5.558, 15.9, 51
2.779, 32.2, 37
1.548, 59.7, 22
3.298, 27.0, 22
2.132, 42.4, 21
1.601, 57.6, 16
2.365, 38.0, 15

No. 8
LiCu4Se4: theoretical XRD peak list (Cu Kα X-rays), based on the GGA-PBE geometry in OQMD.
Peak positions follow from Bragg's law for the DFT cell and can differ from measured ones.

Cell lengths 3.974, 3.974, 12.186 Å; angles 90.00, 90.00, 120.00 degrees
Atoms (fractional coordinates):
Li (0.000, 0.000, 0.000)
Cu (0.333, 0.667, 0.335)
Cu (0.333, 0.667, 0.812)
Cu (0.667, 0.333, 0.188)
Cu (0.667, 0.333, 0.665)
Se (0.000, 0.000, 0.400)
Se (0.000, 0.000, 0.600)
Se (0.333, 0.667, 0.134)
Se (0.667, 0.333, 0.866)

The 10 most intense peaks (2θ from 10° to 80°), in order of falling intensity:
d (Å), two_theta, I (rel.)
1.988, 45.6, 100
3.312, 26.9, 67
2.997, 29.8, 33
1.749, 52.3, 31
3.047, 29.3, 30
1.664, 55.2, 29
2.626, 34.1, 28
2.281, 39.5, 23
6.093, 14.5, 20
1.313, 71.9, 12